Record 1
# Sn3BrF5
Calculated X-ray diffraction stick pattern, Cu Kα (λ = 1.5418 Å). Input: a cell relaxed with PBE.

Structural model:
```
data_Sn3BrF5
_chemical_formula_sum 'Sn12 Br4 F20'
_symmetry_space_group_name_H-M 'P 1 21/c 1'
_symmetry_Int_Tables_number 14
_cell_length_a 4.4140
_cell_length_b 12.7988
_cell_length_c 13.6518
_cell_angle_alpha 90.00
_cell_angle_beta 107.97
_cell_angle_gamma 90.00
loop_
_symmetry_equiv_pos_as_xyz
'x,y,z'
'-x,-y,-z'
'-x,y+1/2,-z+1/2'
'x,-y+1/2,z+1/2'
loop_
_atom_site_label
_atom_site_fract_x
_atom_site_fract_y
_atom_site_fract_z
Sn1 0.1972 0.1289 0.3444
Sn2 0.2062 0.1591 0.6312
Sn3 0.2075 0.6019 0.6008
Br1 0.3946 0.6196 0.3800
F1 0.1166 0.5087 0.1241
F2 0.1384 0.7240 0.1029
F3 0.3103 0.1601 0.8436
F4 0.3231 0.6039 0.7728
F5 0.4263 0.1231 0.5113
```

Main lines, in order of falling intensity (2θ = 5–70°):
Position (°2θ)	I/Imax
28.30	100
27.47	89
27.99	86
27.88	83
24.50	72
39.55	31


Record 2
# Sn2BrF2
Calculated X-ray diffraction stick pattern, Cu Kα (λ = 1.5418 Å). Input: a cell relaxed with PBE.

Structural model:
```
data_Sn2BrF2
_chemical_formula_sum 'Sn4 Br2 F4'
_symmetry_space_group_name_H-M 'C 1 2/m 1'
_symmetry_Int_Tables_number 12
_cell_length_a 9.2576
_cell_length_b 4.4334
_cell_length_c 5.7985
_cell_angle_alpha 90.00
_cell_angle_beta 105.97
_cell_angle_gamma 90.00
loop_
_symmetry_equiv_pos_as_xyz
'x,y,z'
'-x,-y,-z'
'-x,y,-z'
'x,-y,z'
'x+1/2,y+1/2,z'
'-x+1/2,-y+1/2,-z'
'-x+1/2,y+1/2,-z'
'x+1/2,-y+1/2,z'
loop_
_atom_site_label
_atom_site_fract_x
_atom_site_fract_y
_atom_site_fract_z
Sn1 0.1620 0.0000 0.2038
Br1 0.0000 0.5000 0.5000
F1 0.2153 0.5000 0.0910
```

Main lines, in order of falling intensity (2θ = 5–70°):
Position (°2θ)	I/Imax
25.91	100
28.91	60
36.44	45
32.89	28
41.83	25
50.69	25


Record 3
# Sr2BrF3
Calculated X-ray diffraction stick pattern, Cu Kα (λ = 1.5418 Å). Input: a cell relaxed with PBE.

Structural model:
```
data_Sr2BrF3
_chemical_formula_sum 'Sr8 Br4 F12'
_symmetry_space_group_name_H-M 'C 1 2/m 1'
_symmetry_Int_Tables_number 12
_cell_length_a 14.9158
_cell_length_b 4.0790
_cell_length_c 9.3346
_cell_angle_alpha 90.00
_cell_angle_beta 114.53
_cell_angle_gamma 90.00
loop_
_symmetry_equiv_pos_as_xyz
'x,y,z'
'-x,-y,-z'
'-x,y,-z'
'x,-y,z'
'x+1/2,y+1/2,z'
'-x+1/2,-y+1/2,-z'
'-x+1/2,y+1/2,-z'
'x+1/2,-y+1/2,z'
loop_
_atom_site_label
_atom_site_fract_x
_atom_site_fract_y
_atom_site_fract_z
Sr1 0.0041 0.0000 0.2138
Sr2 0.1698 0.5000 0.6041
Br1 0.1314 0.5000 0.0798
F1 0.0181 0.5000 0.3579
F2 0.1281 0.0000 0.7044
F3 0.1726 0.0000 0.4302
```

Main lines, in order of falling intensity (2θ = 5–70°):
Position (°2θ)	I/Imax
29.13	100
29.49	36
25.93	30
44.42	17
51.38	14
39.87	14